1.
The following is a theoretical powder diffractogram of TbY2Pd2PtPb3. It was derived from a DFT-relaxed cell (GGA-PBE, OQMD), using Cu Kα, 1.54184 Å.
Kinematic intensities with the Lorentz-polarization factor, no thermal factor.

Crystal structure
abc: 3.9444 13.4930 7.7950
angles: 90.00 90.00 90.00
Space group Amm2 (No. 38)
Inequivalent atoms, fractional coordinates:
Tb: 0.0000 0.0000 0.0000 x2
Y: 0.0000 0.1983 0.5954 x4
Pd: 0.5000 0.1664 0.8976 x4
Pt: 0.0000 0.0000 0.3968 x2
Pb: 0.5000 0.0000 0.6642 x2
Pb: 0.5000 0.1339 0.2638 x4

Largest 10 diffraction maxima, in order of falling intensity, 10 to 80 degrees two-theta:
| Position (°2θ) | intensity | h k l |
| --- | --- | --- |
| 32.30 | 100 | 1 0 2 |
| 34.99 | 74 | 1 4 0 |
| 40.08 | 50 | 0 6 0 |
| 42.19 | 47 | 1 1 3 |
| 35.18 | 42 | 0 1 3 |
| 64.68 | 39 | 1 1 5 |
| 13.12 | 27 | 0 2 0 |
| 62.64 | 27 | 2 6 0 |
| 46.02 | 24 | 2 0 0 |
| 59.22 | 19 | 2 1 3 |



2.
The following is a theoretical powder diffractogram of RbPd3Pb5. It was derived from a DFT-relaxed cell (GGA-PBE, OQMD), using Cu Kα, 1.54184 Å.
Kinematic intensities with the Lorentz-polarization factor, no thermal factor.

Crystal structure
abc: 5.7996 5.7996 8.4913
angles: 90.00 90.00 120.00
Space group P6/mmm (No. 191)
Inequivalent atoms, fractional coordinates:
Rb: 0.0000 0.0000 0.0000 x1
Pd: 0.0000 0.5000 0.5000 x3
Pb: 0.0000 0.0000 0.5000 x1
Pb: 0.3333 0.6667 0.2195 x4

Largest 10 diffraction maxima, in order of falling intensity, 10 to 80 degrees two-theta:
| Position (°2θ) | intensity | h k l |
| --- | --- | --- |
| 30.84 | 100 | 1 1 0 |
| 41.79 | 87 | 2 0 2 |
| 27.51 | 84 | 1 0 2 |
| 37.56 | 40 | 1 1 2 |
| 10.42 | 35 | 0 0 1 |
| 37.34 | 33 | 2 0 1 |
| 52.83 | 29 | 2 1 2 |
| 53.50 | 26 | 1 1 4 |
| 64.24 | 26 | 2 2 0 |
| 31.61 | 25 | 0 0 3 |



3.
The following is a theoretical powder diffractogram of ScPd2Pb. It was derived from a DFT-relaxed cell (GGA-PBE, OQMD), using Cu Kα, 1.54184 Å.
Kinematic intensities with the Lorentz-polarization factor, no thermal factor.

Crystal structure
abc: 4.7280 4.7280 6.6642
angles: 90.00 90.00 90.00
Space group I4/mmm (No. 139)
Inequivalent atoms, fractional coordinates:
Sc: 0.0000 0.0000 0.0000 x2
Pd: 0.0000 0.5000 0.2500 x4
Pb: 0.0000 0.0000 0.5000 x2

Largest 10 diffraction maxima, in order of falling intensity, 10 to 80 degrees two-theta:
| Position (°2θ) | intensity | h k l |
| --- | --- | --- |
| 38.11 | 100 | 2 0 0 |
| 23.06 | 27 | 1 0 1 |
| 68.83 | 23 | 3 1 2 |
| 68.96 | 12 | 2 0 4 |
| 54.93 | 11 | 2 2 0 |
| 44.98 | 10 | 2 1 1 |
| 60.41 | 7 | 3 0 1 |
| 55.13 | 6 | 0 0 4 |
| 45.09 | 5 | 1 0 3 |
| 73.65 | 4 | 3 2 1 |



4.
The following is a theoretical powder diffractogram of SiPd2Pb. It was derived from a DFT-relaxed cell (GGA-PBE, OQMD), using Cu Kα, 1.54184 Å.
Kinematic intensities with the Lorentz-polarization factor, no thermal factor.

Crystal structure
abc: 6.1413 3.8077 6.5210
angles: 90.00 90.08 90.00
Space group P2_1/m (No. 11)
Inequivalent atoms, fractional coordinates:
Si: 0.2471 0.2500 0.3996 x2
Pd: 0.0132 0.7500 0.3204 x2
Pd: 0.4863 0.7500 0.3241 x2
Pb: 0.2538 0.7500 0.9206 x2

Largest 10 diffraction maxima, in order of falling intensity, 10 to 80 degrees two-theta:
| Position (°2θ) | intensity | h k l |
| --- | --- | --- |
| 40.18 | 100 | 2 1 -1 |
| 30.85 | 82 | 1 1 1 |
| 36.27 | 71 | 0 1 2 |
| 32.22 | 61 | 2 0 1 |
| 27.56 | 54 | 1 1 0 |
| 31.05 | 49 | 1 0 -2 |
| 40.35 | 33 | 2 0 2 |
| 47.77 | 33 | 0 2 0 |
| 69.84 | 30 | 2 1 4 |
| 52.67 | 25 | 3 1 1 |



5.
The following is a theoretical powder diffractogram of SmYPd2Pb. It was derived from a DFT-relaxed cell (GGA-PBE, OQMD), using Cu Kα, 1.54184 Å.
Kinematic intensities with the Lorentz-polarization factor, no thermal factor.

Crystal structure
abc: 3.6470 4.3185 14.9967
angles: 90.00 90.00 90.00
Space group Amm2 (No. 38)
Inequivalent atoms, fractional coordinates:
Sm: 0.0000 0.0000 0.0000 x2
Y: 0.0000 0.0000 0.2692 x2
Pd: 0.5000 0.0000 0.4406 x2
Pd: 0.5000 0.0000 0.8267 x2
Pb: 0.5000 0.0000 0.6358 x2

Largest 10 diffraction maxima, in order of falling intensity, 10 to 80 degrees two-theta:
| Position (°2θ) | intensity | h k l |
| --- | --- | --- |
| 32.69 | 100 | 1 1 1 |
| 36.47 | 54 | 0 1 5 |
| 34.30 | 49 | 1 0 4 |
| 41.84 | 28 | 0 2 0 |
| 55.17 | 25 | 1 2 4 |
| 27.27 | 22 | 0 1 3 |
| 63.47 | 21 | 2 1 5 |
| 44.38 | 21 | 1 1 5 |
| 50.02 | 17 | 2 0 0 |
| 35.93 | 17 | 0 0 6 |



6.
The following is a theoretical powder diffractogram of Zr2SnPd2Pb. It was derived from a DFT-relaxed cell (GGA-PBE, OQMD), using Cu Kα, 1.54184 Å.
Kinematic intensities with the Lorentz-polarization factor, no thermal factor.

Crystal structure
abc: 11.1398 4.5465 11.1434
angles: 90.00 109.47 90.00
Space group Pm (No. 6)
Inequivalent atoms, fractional coordinates:
Zr: 0.0000 0.0000 0.0000 x1
Zr: 0.1234 0.5000 0.3750 x1
Zr: 0.2474 0.0000 0.7483 x1
Zr: 0.3752 0.5000 0.1277 x1
Zr: 0.5000 0.0000 0.5001 x1
Zr: 0.6250 0.5000 0.8734 x1
Zr: 0.7493 0.0000 0.2520 x1
Zr: 0.8732 0.5000 0.6242 x1
Sn: 0.2496 0.0000 0.2504 x1
Sn: 0.6243 0.5000 0.3752 x1
Sn: 0.7490 0.0000 0.7493 x1
Sn: 0.9986 0.0000 0.4996 x1
Pd: 0.1283 0.5000 0.1291 x1
Pd: 0.2451 0.0000 0.4960 x1
Pd: 0.3739 0.5000 0.8748 x1
Pd: 0.4997 0.0000 0.2548 x1
Pd: 0.6278 0.5000 0.6245 x1
Pd: 0.7497 0.0000 0.9961 x1
Pd: 0.8736 0.5000 0.3786 x1
Pd: 0.9952 0.0000 0.7461 x1
Pb: 0.1236 0.5000 0.8752 x1
Pb: 0.3745 0.5000 0.6242 x1
Pb: 0.4997 0.0000 0.0013 x1
Pb: 0.8744 0.5000 0.1258 x1

Largest 10 diffraction maxima, in order of falling intensity, 10 to 80 degrees two-theta:
| Position (°2θ) | intensity | h k l |
| --- | --- | --- |
| 39.64 | 100 | 4 1 0 |
| 71.92 | 34 | 4 3 0 |
| 23.96 | 31 | 1 1 1 |
| 27.74 | 21 | 2 0 2 |
| 57.30 | 17 | 4 2 -4 |
| 46.85 | 16 | 3 1 -5 |
| 64.83 | 8 | 2 1 6 |
| 63.00 | 7 | 1 3 1 |
| 49.07 | 6 | 2 0 -6 |
| 77.05 | 5 | 3 3 -5 |



7.
The following is a theoretical powder diffractogram of Ta4Pd5Pb5. It was derived from a DFT-relaxed cell (GGA-PBE, OQMD), using Cu Kα, 1.54184 Å.
Kinematic intensities with the Lorentz-polarization factor, no thermal factor.

Crystal structure
abc: 9.9974 9.9974 6.3277
angles: 90.00 90.00 90.00
Space group I-4 (No. 82)
Inequivalent atoms, fractional coordinates:
Ta: 0.0996 0.1994 0.2542 x8
Pd: 0.0000 0.0000 0.0000 x2
Pd: 0.1077 0.7166 0.4712 x8
Pb: 0.0000 0.5000 0.2500 x2
Pb: 0.0849 0.2219 0.7631 x8

Largest 10 diffraction maxima, in order of falling intensity, 10 to 80 degrees two-theta:
| Position (°2θ) | intensity | h k l |
| --- | --- | --- |
| 40.34 | 100 | 3 1 2 |
| 28.22 | 38 | 0 0 2 |
| 73.33 | 28 | 2 4 4 |
| 24.38 | 22 | 1 2 1 |
| 58.36 | 15 | 0 0 4 |
| 66.06 | 13 | 3 1 4 |
| 49.95 | 10 | 2 4 2 |
| 47.69 | 9 | 1 2 3 |
| 35.34 | 6 | 2 3 1 |
| 78.61 | 4 | 4 7 1 |



8.
The following is a theoretical powder diffractogram of TmTe3PdPb. It was derived from a DFT-relaxed cell (GGA-PBE, OQMD), using Cu Kα, 1.54184 Å.
Kinematic intensities with the Lorentz-polarization factor, no thermal factor.

Crystal structure
abc: 8.3717 4.1714 10.7222
angles: 90.00 107.90 90.00
Space group P2_1/m (No. 11)
Inequivalent atoms, fractional coordinates:
Tm: 0.2017 0.2500 0.1748 x2
Te: 0.0780 0.2500 0.8714 x2
Te: 0.2390 0.2500 0.4627 x2
Te: 0.4545 0.7500 0.1586 x2
Pd: 0.4093 0.7500 0.4044 x2
Pb: 0.2432 0.7500 0.7090 x2

Largest 10 diffraction maxima, in order of falling intensity, 10 to 80 degrees two-theta:
| Position (°2θ) | intensity | h k l |
| --- | --- | --- |
| 30.31 | 100 | 2 1 -1 |
| 43.39 | 53 | 0 2 0 |
| 33.16 | 48 | 1 1 -3 |
| 34.17 | 46 | 2 1 1 |
| 31.04 | 39 | 2 1 0 |
| 27.69 | 32 | 1 1 -2 |
| 38.44 | 25 | 1 1 3 |
| 33.43 | 25 | 1 0 -4 |
| 71.54 | 25 | 6 1 -3 |
| 41.75 | 22 | 2 1 -4 |



9.
The following is a theoretical powder diffractogram of TlPdPb. It was derived from a DFT-relaxed cell (GGA-PBE, OQMD), using Cu Kα, 1.54184 Å.
Kinematic intensities with the Lorentz-polarization factor, no thermal factor.

Crystal structure
abc: 6.8996 3.6228 11.3803
angles: 90.00 90.00 90.00
Space group Pnma (No. 62)
Inequivalent atoms, fractional coordinates:
Tl: 0.1346 0.2500 0.0997 x4
Pd: 0.1146 0.2500 0.7517 x4
Pb: 0.1325 0.2500 0.3879 x4

Largest 10 diffraction maxima, in order of falling intensity, 10 to 80 degrees two-theta:
| Position (°2θ) | intensity | h k l |
| --- | --- | --- |
| 35.95 | 100 | 2 1 0 |
| 34.23 | 99 | 0 1 3 |
| 35.16 | 91 | 2 0 3 |
| 62.92 | 34 | 2 2 3 |
| 64.70 | 30 | 4 1 3 |
| 61.37 | 22 | 2 1 6 |
| 48.49 | 21 | 2 1 4 |
| 50.38 | 20 | 0 2 0 |
| 25.81 | 18 | 0 1 1 |
| 47.94 | 17 | 0 0 6 |